Computed XRD peak list
Compound: Rb3Tb3SiO8
Radiation: Cu Kα X-rays
Structure: a structure optimized by DFT (PBE)
Lines closer than 0.1° are merged.

Atomic structure:
```
Rb3Tb3SiO8
1.0
3.3547 1.9368 6.6066
-3.3547 1.9368 6.6066
0.0000 -3.8736 6.6066
Rb Tb Si O
3 3 1 8
direct
0.0000 0.5000 0.5000
0.5000 0.0000 0.5000
0.5000 0.5000 0.0000
0.0000 0.0000 0.5000
0.0000 0.5000 0.0000
0.5000 0.0000 0.0000
0.5000 0.5000 0.5000
0.2248 0.2248 0.2248
0.2727 0.6912 0.6912
0.3088 0.3088 0.7273
0.3088 0.7273 0.3088
0.6912 0.2727 0.6912
0.6912 0.6912 0.2727
0.7273 0.3088 0.3088
0.7752 0.7752 0.7752
```

Peak list (10 most intense, 15° ≤ 2θ ≤ 90°, by angle)
2θ 17.69, rel. 33
2θ 23.60, rel. 15
2θ 26.99, rel. 48
2θ 32.11, rel. 77
2θ 35.83, rel. 100
2θ 48.28, rel. 35
2θ 54.72, rel. 29
2θ 56.18, rel. 23
2θ 62.06, rel. 29
2θ 67.15, rel. 14